The following is a calculated powder diffraction line list of Rb2BaSc3F12. It was derived from a crystal structure in Alexandria, relaxed with PBE, using Cu Kα.
Kinematic intensities with the Lorentz-polarization factor, no thermal factor.

Largest 12 diffraction maxima, low angle first, 15° ≤ 2θ ≤ 90°:
22.8 deg, 3.900 Å, intensity 33; 26.8 deg, 3.323 Å, intensity 19; 27.0 deg, 3.303 Å, intensity 100; 27.3 deg, 3.263 Å, intensity 31; 28.1 deg, 3.175 Å, intensity 26; 35.9 deg, 2.503 Å, intensity 30; 36.5 deg, 2.462 Å, intensity 16; 42.7 deg, 2.117 Å, intensity 34; 42.9 deg, 2.106 Å, intensity 18; 46.6 deg, 1.950 Å, intensity 43; 47.4 deg, 1.917 Å, intensity 20; 65.0 deg, 1.434 Å, intensity 15

Structure:
```
data_Rb2BaSc3F12
_chemical_formula_sum 'Rb6 Ba3 Sc9 F36'
_symmetry_space_group_name_H-M 'R -3 m'
_symmetry_Int_Tables_number 166
_symmetry_space_group_name_Hall '-R 3 2"'
_cell_length_a 7.8003
_cell_length_b 7.8003
_cell_length_c 18.6322
_cell_angle_alpha 90.00
_cell_angle_beta 90.00
_cell_angle_gamma 120.00
loop_
_atom_site_label
_atom_site_type_symbol
_atom_site_fract_x
_atom_site_fract_y
_atom_site_fract_z
Rb1 Rb 0.0000 0.0000 0.1215
Ba1 Ba 0.0000 0.0000 0.5000
Sc1 Sc 0.0000 0.5000 0.0000
F1 F 0.0332 0.5166 0.8913
F2 F 0.0691 0.5346 0.3102
```